(1)
This entry pairs a crystal structure of Ca8Bi5N with its simulated powder diffraction line list. Radiation: CuKα. Structure: a cell relaxed with GGA-PBE.

Crystal structure
Lattice parameters (Å, degrees): 9.3943 9.3943 9.9564 90.00 90.00 90.00
Space group I-4 (No. 82)
Asymmetric unit:
Ca (0.0490, 0.2465, 0.0370) [8 per cell]
Ca (0.0866, 0.1788, 0.6708) [8 per cell]
Bi (0.0000, 0.5000, 0.7500) [2 per cell]
Bi (0.1353, 0.2487, 0.3580) [8 per cell]
N (0.0000, 0.0000, 0.0000) [2 per cell]

Main lines, by angle (2θ from 5° to 70°):
| 2theta | I_rel |
| --- | --- |
| 22.32 | 60 |
| 22.98 | 100 |
| 28.52 | 37 |
| 29.91 | 37 |
| 30.08 | 58 |
| 34.44 | 47 |
| 35.62 | 32 |
| 41.04 | 19 |
| 42.56 | 22 |
| 44.19 | 32 |

(2)
This entry pairs a crystal structure of Ca4BiPN with its simulated powder diffraction line list. Radiation: CuKα. Structure: a cell relaxed with GGA-PBE.

Crystal structure
Lattice parameters (Å, degrees): 6.6937 15.6477 6.7088 90.00 90.00 90.00
Space group Cmcm (No. 63)
Asymmetric unit:
Ca (0.0000, 0.0791, 0.2500) [4 per cell]
Ca (0.0000, 0.4041, 0.2500) [4 per cell]
Ca (0.2500, 0.2500, 0.0000) [8 per cell]
Bi (0.0000, 0.3962, 0.7500) [4 per cell]
P (0.0000, 0.1176, 0.7500) [4 per cell]
N (0.0000, 0.2497, 0.2500) [4 per cell]

Main lines, by angle (2θ from 5° to 70°):
| 2theta | I_rel |
| --- | --- |
| 14.39 | 72 |
| 17.41 | 66 |
| 25.40 | 46 |
| 26.60 | 62 |
| 28.99 | 44 |
| 32.00 | 32 |
| 34.38 | 35 |
| 35.27 | 100 |
| 37.98 | 66 |
| 52.15 | 36 |

(3)
This entry pairs a crystal structure of Ca6Bi2SN with its simulated powder diffraction line list. Radiation: CuKα. Structure: a cell relaxed with GGA-PBE.

Crystal structure
Lattice parameters (Å, degrees): 10.2731 10.2731 10.2731 90.00 90.00 90.00
Space group Fm-3m (No. 225)
Asymmetric unit:
Ca (0.0000, 0.0000, 0.2344) [24 per cell]
Bi (0.2500, 0.2500, 0.2500) [8 per cell]
S (0.0000, 0.0000, 0.5000) [4 per cell]
N (0.0000, 0.0000, 0.0000) [4 per cell]

Main lines, by angle (2θ from 5° to 70°):
| 2theta | I_rel |
| --- | --- |
| 17.26 | 52 |
| 24.51 | 94 |
| 30.13 | 100 |
| 34.94 | 67 |
| 39.22 | 33 |
| 43.14 | 42 |
| 50.24 | 45 |
| 56.67 | 21 |
| 59.71 | 41 |
| 68.33 | 24 |

(4)
This entry pairs a crystal structure of Ca2YBiN with its simulated powder diffraction line list. Radiation: CuKα. Structure: a cell relaxed with GGA-PBE.

Crystal structure
Lattice parameters (Å, degrees): 4.9504 4.9504 4.7922 90.00 90.00 90.00
Space group P4/mmm (No. 123)
Asymmetric unit:
Ca (0.0000, 0.5000, 0.0000) [2 per cell]
Y (0.0000, 0.0000, 0.5000) [1 per cell]
Bi (0.5000, 0.5000, 0.5000) [1 per cell]
N (0.0000, 0.0000, 0.0000) [1 per cell]

Main lines, by angle (2θ from 5° to 70°):
| 2theta | I_rel |
| --- | --- |
| 18.51 | 25 |
| 25.45 | 32 |
| 25.88 | 20 |
| 31.65 | 100 |
| 36.29 | 40 |
| 37.54 | 18 |
| 41.04 | 15 |
| 45.90 | 14 |
| 53.20 | 26 |
| 62.41 | 28 |

(5)
This entry pairs a crystal structure of NaCa3Bi4 with its simulated powder diffraction line list. Radiation: CuKα. Structure: a cell relaxed with GGA-PBE.

Crystal structure
Lattice parameters (Å, degrees): 4.1923 4.1923 14.0679 90.00 90.00 90.00
Space group P4/mmm (No. 123)
Asymmetric unit:
Na (0.0000, 0.0000, 0.0000) [1 per cell]
Ca (0.0000, 0.0000, 0.2454) [2 per cell]
Ca (0.0000, 0.0000, 0.5000) [1 per cell]
Bi (0.5000, 0.5000, 0.1241) [2 per cell]
Bi (0.5000, 0.5000, 0.3733) [2 per cell]

Main lines, by angle (2θ from 5° to 70°):
| 2theta | I_rel |
| --- | --- |
| 21.19 | 70 |
| 25.32 | 23 |
| 30.15 | 65 |
| 33.25 | 100 |
| 39.77 | 30 |
| 43.16 | 25 |
| 48.56 | 17 |
| 50.70 | 15 |
| 55.55 | 47 |
| 61.29 | 17 |

(6)
This entry pairs a crystal structure of NaCa2Bi4 with its simulated powder diffraction line list. Radiation: CuKα. Structure: a cell relaxed with GGA-PBE.

Crystal structure
Lattice parameters (Å, degrees): 9.5056 9.7364 9.7889 90.00 90.00 90.00
Space group Fmmm (No. 69)
Asymmetric unit:
Na (0.0000, 0.0000, 0.0000) [4 per cell]
Ca (0.0000, 0.2500, 0.2500) [8 per cell]
Bi (0.2500, 0.0000, 0.2500) [8 per cell]
Bi (0.2500, 0.2500, 0.0000) [8 per cell]

Main lines, by angle (2θ from 5° to 70°):
| 2theta | I_rel |
| --- | --- |
| 18.67 | 53 |
| 25.81 | 50 |
| 32.05 | 100 |
| 36.72 | 17 |
| 36.93 | 17 |
| 37.86 | 16 |
| 41.50 | 15 |
| 41.69 | 15 |
| 46.39 | 22 |
| 63.21 | 15 |